Starting from a structure optimized by DFT (GGA+U), the X-ray powder pattern of La4Mn3NiO12 was calculated for λ = 1.5418 Å (Cu Kα).
No peak broadening, texture or thermal motion is included.

Peak list (10 most intense, 2θ from 10° to 90°, sorted by position)
2θ/deg, d (Å), Rel. int.
22.7, 3.925, 19
32.1, 2.785, 31
32.3, 2.769, 100
32.4, 2.765, 34
32.5, 2.755, 32
39.9, 2.260, 14
46.3, 1.963, 36
46.6, 1.948, 20
57.6, 1.599, 19
57.8, 1.596, 14

Structure:
Unit cell a=5.5322 b=5.5699 c=7.7938 alpha=90.34 beta=90.22 gamma=90.09
Element x y z (fractional)
1 La 0.0035 0.4641 0.2496
2 La 0.4879 0.9592 0.2508
3 La 0.5121 0.0408 0.7492
4 La 0.9965 0.5359 0.7504
5 Mn 0.0000 0.0000 0.0000
6 Mn 0.0000 0.0000 0.5000
7 Mn 0.5000 0.5000 0.0000
8 Ni 0.5000 0.5000 0.5000
9 O 0.0778 0.9856 0.7429
10 O 0.2053 0.7254 0.4595
11 O 0.2077 0.7118 0.0398
12 O 0.2720 0.2068 0.4605
13 O 0.2833 0.2049 0.0385
14 O 0.4293 0.4872 0.7576
15 O 0.5707 0.5128 0.2424
16 O 0.7167 0.7951 0.9615
17 O 0.7280 0.7932 0.5395
18 O 0.7923 0.2882 0.9602
19 O 0.7947 0.2746 0.5405
20 O 0.9222 0.0144 0.2571